OsC6N9: simulated PXRD pattern (Cu Kα, 1.54184 Å), based on a cell relaxed with PBE.

Largest 12 diffraction maxima, low angle first, 2θ = 15–90°:
5.677 Å, 15.61 deg, intensity 478; 5.505 Å, 16.10 deg, intensity 1000; 4.391 Å, 20.23 deg, intensity 366; 4.216 Å, 21.07 deg, intensity 114; 3.659 Å, 24.33 deg, intensity 508; 3.315 Å, 26.90 deg, intensity 170; 3.244 Å, 27.50 deg, intensity 397; 3.195 Å, 27.93 deg, intensity 148; 2.753 Å, 32.53 deg, intensity 155; 2.704 Å, 33.13 deg, intensity 141; 2.266 Å, 39.79 deg, intensity 144; 1.906 Å, 47.71 deg, intensity 144

Cell and atoms:
Lattice parameters (Å, degrees): 7.7746 7.7746 11.3546 90.00 90.00 125.94
Element x y z (fractional)
Os1 0.2202 0.7798 0.7500
Os2 0.7798 0.2202 0.2500
C1 0.0260 0.2923 0.7500
C2 0.1973 0.4840 0.0975
C3 0.1973 0.4840 0.4025
C4 0.2923 0.0260 0.2500
C5 0.4840 0.1973 0.5975
C6 0.4840 0.1973 0.9025
C7 0.5160 0.8027 0.0975
C8 0.5160 0.8027 0.4025
C9 0.7077 0.9740 0.7500
C10 0.8027 0.5160 0.5975
C11 0.8027 0.5160 0.9025
C12 0.9740 0.7077 0.2500
N1 0.0261 0.3545 0.1349
N2 0.0261 0.3545 0.3651
N3 0.0873 0.9127 0.2500
N4 0.1377 0.4796 0.7500
N5 0.3545 0.0261 0.6349
N6 0.3545 0.0261 0.8651
N7 0.3817 0.6183 0.0513
N8 0.3817 0.6183 0.4487
N9 0.4796 0.1377 0.2500
N10 0.5204 0.8623 0.7500
N11 0.6183 0.3817 0.5513
N12 0.6183 0.3817 0.9487
N13 0.6455 0.9739 0.1349
N14 0.6455 0.9739 0.3651
N15 0.8623 0.5204 0.2500
N16 0.9127 0.0873 0.7500
N17 0.9739 0.6455 0.6349
N18 0.9739 0.6455 0.8651